This entry pairs a crystal structure of Li6VSb3P6O24 with its simulated powder XRD pattern. Radiation: Cu Kα. Structure: DFT lattice parameters and positions (GGA+U).
Kinematic intensities with the Lorentz-polarization factor, no thermal factor.

Structure:
```
data_Li6VSb3P6O24
_cell_length_a 8.805
_cell_length_b 8.820
_cell_length_c 8.923
_cell_angle_alpha 61.05
_cell_angle_beta 63.41
_cell_angle_gamma 60.99
_space_group_name_H-M_alt 'P 1'
_space_group_IT_number 1
_space_group_name_Hall 'P 1'
loop_
_atom_site_label
_atom_site_fract_x
_atom_site_fract_y
_atom_site_fract_z
_atom_site_occupancy
Li1 0.000 0.000 0.000 1
Li2 0.035 0.524 0.147 1
Li3 0.184 0.320 0.800 1
Li4 0.448 0.822 0.195 1
Li5 0.595 0.079 0.679 1
Li6 0.659 0.642 0.496 1
V1 0.484 0.255 0.972 1
Sb1 0.193 0.939 0.658 1
Sb2 0.722 0.415 0.180 1
Sb3 0.977 0.754 0.445 1
P1 0.114 0.132 0.205 1
P2 0.289 0.660 0.061 1
P3 0.412 0.516 0.575 1
P4 0.577 0.054 0.384 1
P5 0.782 0.844 0.922 1
P6 0.887 0.367 0.761 1
O1 0.012 0.054 0.172 1
O2 0.064 0.197 0.740 1
O3 0.102 0.674 0.215 1
O4 0.225 0.976 0.335 1
O5 0.238 0.536 0.555 1
O6 0.241 0.220 0.029 1
O7 0.260 0.843 0.898 1
O8 0.316 0.499 0.017 1
O9 0.395 0.665 0.633 1
O10 0.420 0.011 0.555 1
O11 0.433 0.645 0.123 1
O12 0.469 0.322 0.719 1
O13 0.517 0.168 0.214 1
O14 0.572 0.535 0.398 1
O15 0.591 0.982 0.988 1
O16 0.651 0.153 0.423 1
O17 0.717 0.316 0.841 1
O18 0.728 0.863 0.370 1
O19 0.791 0.848 0.745 1
O20 0.796 0.651 0.079 1
O21 0.882 0.523 0.570 1
O22 0.908 0.436 0.877 1
O23 0.935 0.890 0.908 1
O24 0.964 0.298 0.275 1
```

The 10 most intense peaks (5° ≤ 2θ ≤ 70°), most intense first:
(hkl)  2θ (°)  intensity
1 1 2  19.9  100
2 1 1  20.2  89
1 2 0  23.4  49
1 1 -2  33.6  43
1 -2 1  35.1  40
1 1 0  13.8  36
0 1 -1  19.7  30
3 2 1  31.8  29
2 2 0  27.9  27
0 1 2  22.7  27